Structure and computed X-ray powder pattern of Dy8Ru3Pt2 (DFT lattice parameters and positions (PBE); copper Kα).
Intensities are scaled so that the largest is 100.

Cell and atoms:
```
data_Dy8Ru3Pt2
_chemical_formula_sum 'Dy8 Ru3 Pt2'
_cell_length_a 8.384
_cell_length_b 8.384
_cell_length_c 4.817
_cell_angle_alpha 90.00
_cell_angle_beta 90.00
_cell_angle_gamma 109.70
_space_group_name_H-M_alt 'P 1'
_space_group_IT_number 1
loop_
_space_group_symop_operation_xyz
'x,y,z'
loop_
_atom_site_label
_atom_site_type_symbol
_atom_site_fract_x
_atom_site_fract_y
_atom_site_fract_z
Dy1 Dy 0.120 0.880 0.000
Dy2 Dy 0.130 0.370 0.500
Dy3 Dy 0.370 0.130 0.500
Dy4 Dy 0.378 0.622 0.000
Dy5 Dy 0.622 0.378 0.000
Dy6 Dy 0.630 0.870 0.500
Dy7 Dy 0.870 0.630 0.500
Dy8 Dy 0.880 0.120 0.000
Ru1 Ru 0.251 0.251 0.000
Ru2 Ru 0.500 0.500 0.500
Ru3 Ru 0.749 0.749 0.000
Pt1 Pt 0.249 0.751 0.500
Pt2 Pt 0.751 0.249 0.500
```

Peak list (6 most intense, 2θ = 10–90°, low angle first)
Position (°2θ), I (rel.)
22.54, 18
37.21, 100
37.33, 20
53.77, 14
67.00, 14
67.19, 28